Structure and computed X-ray powder pattern of NiGeWO6 (a cell relaxed with GGA+U; Cu Kα (λ = 1.5418 Å)).
Peak positions follow from Bragg's law for the DFT cell and can differ from measured ones.

Cell and atoms:
```
NiGeWO6
1.0
5.045 0.000 0.000
-2.522 4.369 0.000
0.000 0.000 9.002
Ni Ge W O
2 2 2 12
Direct
0.000 0.000 0.000
0.000 0.000 0.500
0.333 0.667 0.250
0.667 0.333 0.750
0.333 0.667 0.750
0.667 0.333 0.250
0.005 0.357 0.134
0.005 0.648 0.366
0.352 0.357 0.366
0.352 0.995 0.134
0.357 0.005 0.634
0.357 0.352 0.866
0.643 0.648 0.134
0.643 0.995 0.366
0.648 0.005 0.866
0.648 0.643 0.634
0.995 0.352 0.634
0.995 0.643 0.866
```

Main lines, most intense first (2θ = 15–90°):
28.47 deg, I = 100; 54.65 deg, I = 55; 35.59 deg, I = 54; 19.72 deg, I = 44; 41.02 deg, I = 41; 22.62 deg, I = 37; 46.19 deg, I = 26; 59.64 deg, I = 24; 63.93 deg, I = 20; 20.33 deg, I = 15